Diffraction record for Dy4Al24Pd9. The powder X-ray diffraction pattern is simulated, not measured: it uses DFT lattice parameters and positions (GGA-PBE) and CuKα.
No peak broadening, texture or thermal motion is included.

Main lines, sorted by position (5° ≤ 2θ ≤ 70°):
| 2θ/deg | d [Å] | I/Imax |
| --- | --- | --- |
| 13.71 | 6.457 | 15 |
| 23.69 | 3.756 | 38 |
| 26.25 | 3.396 | 14 |
| 28.59 | 3.122 | 69 |
| 29.97 | 2.981 | 54 |
| 34.59 | 2.593 | 21 |
| 34.77 | 2.580 | 39 |
| 38.39 | 2.345 | 41 |
| 41.44 | 2.179 | 100 |
| 44.32 | 2.044 | 16 |
| 55.01 | 1.669 | 12 |
| 55.09 | 1.667 | 15 |

Structure:
Cell: 7.543 7.547 13.204 Å, 79.11 84.53 60.08°
Atoms (fractional coordinates):
Dy: 0.002 0.231 0.309
Dy: 0.332 0.562 0.309
Dy: 0.668 0.438 0.691
Dy: 0.998 0.769 0.691
Al: 0.000 0.148 0.556
Al: 0.000 0.314 0.059
Al: 0.000 0.686 0.941
Al: 0.000 0.852 0.444
Al: 0.007 0.056 0.830
Al: 0.130 0.309 0.685
Al: 0.333 0.021 0.939
Al: 0.333 0.183 0.454
Al: 0.333 0.646 0.059
Al: 0.334 0.383 0.830
Al: 0.334 0.482 0.556
Al: 0.336 0.897 0.684
Al: 0.340 0.269 0.169
Al: 0.458 0.897 0.316
Al: 0.542 0.103 0.684
Al: 0.660 0.731 0.831
Al: 0.664 0.103 0.316
Al: 0.666 0.518 0.444
Al: 0.666 0.617 0.170
Al: 0.667 0.354 0.941
Al: 0.667 0.817 0.546
Al: 0.667 0.979 0.061
Al: 0.870 0.691 0.315
Al: 0.993 0.944 0.170
Pd: 0.000 0.500 0.500
Pd: 0.008 0.613 0.138
Pd: 0.325 0.954 0.137
Pd: 0.328 0.829 0.500
Pd: 0.333 0.705 0.862
Pd: 0.667 0.295 0.138
Pd: 0.672 0.171 0.500
Pd: 0.675 0.046 0.863
Pd: 0.992 0.387 0.862

***

Diffraction record for La4SmTm2. The powder X-ray diffraction pattern is simulated, not measured: it uses DFT lattice parameters and positions (GGA-PBE) and CuKα.
No peak broadening, texture or thermal motion is included.

Main lines, sorted by position (5° ≤ 2θ ≤ 70°):
| 2θ/deg | d [Å] | I/Imax |
| --- | --- | --- |
| 29.46 | 3.032 | 14 |
| 29.77 | 3.001 | 100 |
| 30.36 | 2.944 | 28 |
| 31.13 | 2.873 | 66 |
| 31.75 | 2.819 | 29 |
| 31.99 | 2.798 | 21 |
| 32.93 | 2.720 | 10 |
| 36.54 | 2.459 | 30 |
| 49.85 | 1.829 | 21 |
| 54.28 | 1.690 | 16 |
| 55.53 | 1.655 | 9 |
| 59.70 | 1.549 | 14 |

Structure:
Cell: 12.744 12.744 6.885 Å, 96.97 96.97 150.33°
Atoms (fractional coordinates):
La: 0.019 0.981 0.500
La: 0.132 0.594 0.728
La: 0.217 0.612 0.273
La: 0.452 0.557 0.457
La: 0.557 0.452 0.957
La: 0.594 0.132 0.228
La: 0.612 0.217 0.773
La: 0.981 0.019 0.000
Sm: 0.088 0.839 0.866
Sm: 0.839 0.088 0.366
Tm: 0.045 0.731 0.320
Tm: 0.341 0.527 0.911
Tm: 0.527 0.341 0.411
Tm: 0.731 0.045 0.820